Li3Co2O6: theoretical XRD peak list (Cu Kα X-rays), based on a cell relaxed with GGA+U.
Peak positions follow from Bragg's law for the DFT cell and can differ from measured ones.

Peak list (10 most intense, 10° ≤ 2θ ≤ 90°, by intensity)
2θ/deg, I_rel
18.84, 100
45.52, 50
22.14, 35
45.21, 26
37.75, 23
24.61, 20
21.22, 15
28.52, 14
65.30, 13
66.90, 12

Structural model:
```
Li3Co2O6
1.0
2.424 -4.187 0.000
2.424 4.187 0.000
-1.650 0.000 4.711
Li Co O
3 2 6
direct
0.000 0.000 0.000
0.497 0.503 0.500
0.835 0.165 0.500
0.325 0.675 0.000
0.657 0.343 0.000
0.075 0.447 0.213
0.276 0.298 0.777
0.438 0.094 0.222
0.553 0.925 0.787
0.702 0.724 0.223
0.906 0.562 0.778
```